1.
Diffraction record for Sr5Cr2N6. The X-ray powder pattern is theoretical, not measured: it uses DFT lattice parameters and positions (PBE) and CuKα.
Lines closer than 0.1° are merged.

Peak list (6 most intense, 5° ≤ 2θ ≤ 70°, in order of rising 2θ)
2θ/deg	Rel. int.
26.7	53.7
29.8	37.5
30.2	65.3
31.8	99.3
32.9	100.0
33.8	66.2

Structural model:
a b c (Å): 6.116 6.116 13.623
angles (deg): 99.69 99.69 65.42
Fractional positions:
Sr 0.108 0.892 0.750
Sr 0.168 0.693 0.005
Sr 0.259 0.427 0.281
Sr 0.307 0.832 0.495
Sr 0.427 0.259 0.781
Sr 0.573 0.741 0.219
Sr 0.693 0.168 0.505
Sr 0.741 0.573 0.719
Sr 0.832 0.307 0.995
Sr 0.892 0.108 0.250
Cr 0.136 0.414 0.572
Cr 0.414 0.136 0.072
Cr 0.586 0.864 0.928
Cr 0.864 0.586 0.428
N 0.106 0.199 0.638
N 0.154 0.299 0.436
N 0.199 0.106 0.138
N 0.299 0.154 0.936
N 0.380 0.495 0.626
N 0.495 0.380 0.126
N 0.505 0.620 0.874
N 0.620 0.505 0.374
N 0.701 0.846 0.064
N 0.801 0.894 0.862
N 0.846 0.701 0.564
N 0.894 0.801 0.362

2.
Diffraction record for BaMg6C. The X-ray powder pattern is theoretical, not measured: it uses DFT lattice parameters and positions (PBE) and CuKα.
Lines closer than 0.1° are merged.

Peak list (6 most intense, 5° ≤ 2θ ≤ 70°, in order of rising 2θ)
2θ/deg	Rel. int.
16.0	87.4
20.2	72.4
29.2	51.6
30.0	100.0
31.7	49.1
40.8	48.3

Structural model:
a b c (Å): 3.673 10.611 10.611
angles (deg): 31.48 90.00 90.00
Fractional positions:
Ba 0.000 0.000 0.000
Mg 0.000 0.492 0.995
Mg 0.000 0.995 0.492
Mg 0.500 0.126 0.587
Mg 0.500 0.147 0.147
Mg 0.500 0.587 0.126
Mg 0.500 0.618 0.618
C 0.000 0.332 0.332

3.
Diffraction record for Mg5In. The X-ray powder pattern is theoretical, not measured: it uses DFT lattice parameters and positions (PBE) and CuKα.
Lines closer than 0.1° are merged.

Peak list (6 most intense, 5° ≤ 2θ ≤ 70°, in order of rising 2θ)
2θ/deg	Rel. int.
18.5	48.4
25.3	46.9
32.3	32.1
34.5	25.4
36.8	100.0
48.0	20.6

Structural model:
a b c (Å): 5.535 5.535 5.193
angles (deg): 90.00 90.00 120.00
Fractional positions:
Mg 0.000 0.666 0.000
Mg 0.333 0.667 0.500
Mg 0.334 0.334 0.000
Mg 0.666 0.000 0.000
Mg 0.667 0.333 0.500
In 0.000 0.000 0.500

4.
Diffraction record for Ca5Sn2N6. The X-ray powder pattern is theoretical, not measured: it uses DFT lattice parameters and positions (PBE) and CuKα.
Lines closer than 0.1° are merged.

Peak list (6 most intense, 5° ≤ 2θ ≤ 70°, in order of rising 2θ)
2θ/deg	Rel. int.
16.1	71.7
17.7	100.0
21.5	49.2
33.3	64.8
34.8	42.3
35.5	83.0

Structural model:
a b c (Å): 6.282 6.282 13.964
angles (deg): 94.42 94.42 57.31
Fractional positions:
Ca 0.121 0.879 0.750
Ca 0.151 0.652 0.970
Ca 0.263 0.444 0.284
Ca 0.348 0.849 0.530
Ca 0.444 0.263 0.784
Ca 0.556 0.737 0.216
Ca 0.652 0.151 0.470
Ca 0.737 0.556 0.716
Ca 0.849 0.348 0.030
Ca 0.879 0.121 0.250
Sn 0.157 0.429 0.587
Sn 0.429 0.157 0.087
Sn 0.571 0.843 0.913
Sn 0.843 0.571 0.413
N 0.148 0.182 0.675
N 0.182 0.148 0.175
N 0.225 0.257 0.444
N 0.257 0.225 0.944
N 0.408 0.527 0.636
N 0.473 0.592 0.864
N 0.527 0.408 0.136
N 0.592 0.473 0.364
N 0.743 0.775 0.056
N 0.775 0.743 0.556
N 0.818 0.852 0.825
N 0.852 0.818 0.325

5.
Diffraction record for Si3Ge. The X-ray powder pattern is theoretical, not measured: it uses DFT lattice parameters and positions (PBE) and CuKα.
Lines closer than 0.1° are merged.

Peak list (6 most intense, 5° ≤ 2θ ≤ 70°, in order of rising 2θ)
2θ/deg	Rel. int.
24.3	20.5
28.2	10.9
40.3	100.0
47.6	10.7
58.3	16.4
64.1	4.3

Structural model:
a b c (Å): 4.479 4.479 4.479
angles (deg): 60.00 60.00 60.00
Fractional positions:
Si 0.000 0.000 0.000
Si 0.250 0.250 0.250
Si 0.750 0.750 0.750
Ge 0.500 0.500 0.500

6.
Diffraction record for CaC4. The X-ray powder pattern is theoretical, not measured: it uses DFT lattice parameters and positions (PBE) and CuKα.
Lines closer than 0.1° are merged.

Peak list (6 most intense, 5° ≤ 2θ ≤ 70°, in order of rising 2θ)
2θ/deg	Rel. int.
25.1	23.0
33.9	100.0
35.8	11.5
42.7	44.1
45.8	19.6
58.1	21.3

Structural model:
a b c (Å): 3.548 3.548 3.958
angles (deg): 90.00 90.00 90.00
Fractional positions:
Ca 0.000 0.000 0.000
C 0.202 0.500 0.500
C 0.500 0.202 0.500
C 0.500 0.798 0.500
C 0.798 0.500 0.500

7.
Diffraction record for K2RbScCl6. The X-ray powder pattern is theoretical, not measured: it uses DFT lattice parameters and positions (PBE) and CuKα.
Lines closer than 0.1° are merged.

Peak list (6 most intense, 5° ≤ 2θ ≤ 70°, in order of rising 2θ)
2θ/deg	Rel. int.
15.9	55.4
22.5	64.2
27.7	29.5
32.1	100.0
39.6	23.1
46.0	60.6

Structural model:
a b c (Å): 7.893 7.893 7.893
angles (deg): 60.00 60.00 60.00
Fractional positions:
K 0.250 0.250 0.250
K 0.750 0.750 0.750
Rb 0.000 0.000 0.000
Sc 0.500 0.500 0.500
Cl 0.277 0.277 0.723
Cl 0.277 0.723 0.277
Cl 0.277 0.723 0.723
Cl 0.723 0.277 0.277
Cl 0.723 0.277 0.723
Cl 0.723 0.723 0.277